For PrZr4Rh5, a DFT-relaxed cell (PBE, Alexandria) gives the calculated powder X-ray diffraction pattern in this record (copper Kα).

Crystal structure
Cell lengths 3.3298, 3.3298, 17.0945 Å; angles 90.00, 90.00, 90.00 degrees
Positions (direct):
Pr 0.0000 0.0000 0.0000
Zr 0.0000 0.0000 0.2110
Zr 0.0000 0.0000 0.4047
Zr 0.0000 0.0000 0.5953
Zr 0.0000 0.0000 0.7890
Rh 0.5000 0.5000 0.1286
Rh 0.5000 0.5000 0.3113
Rh 0.5000 0.5000 0.5000
Rh 0.5000 0.5000 0.6887
Rh 0.5000 0.5000 0.8714

Main lines, in order of falling intensity (2θ from 10° to 90°):
2θ/deg	intensity	index
37.71	100.0	1 0 5
38.22	59.6	1 1 0
68.76	32.9	2 1 5
55.17	20.1	2 0 0
67.74	9.1	1 1 10
41.72	8.8	1 0 6
34.14	6.5	1 0 4
81.81	6.3	2 2 0